Computed powder diffraction line list
Compound: Ti3Al2NiO
Radiation: λ = 1.5418 Å (Cu Kα)
Structure: a cell relaxed with GGA+U

Principal peaks in the range 2θ from 15° to 90°, by angle:
2θ (°)  I_rel
27.1  15
34.4  32
38.8  41
41.2  100
45.1  43
53.4  18
56.0  8
67.4  8
70.2  33
71.9  10
84.8  18
89.5  9

Structure:
```
data_Ti3Al2NiO
_cell_length_a 8.0461
_cell_length_b 8.0461
_cell_length_c 8.0461
_cell_angle_alpha 60.00
_cell_angle_beta 60.00
_cell_angle_gamma 60.00
_symmetry_space_group_name_H-M 'P 1'
_symmetry_Int_Tables_number 1
loop_
_symmetry_equiv_pos_as_xyz
'x,y,z'
loop_
_atom_site_label
_atom_site_type_symbol
_atom_site_fract_x
_atom_site_fract_y
_atom_site_fract_z
Ti1 Ti 0.0594 0.0594 0.6906
Ti2 Ti 0.0594 0.6906 0.0594
Ti3 Ti 0.0594 0.6906 0.6906
Ti4 Ti 0.3094 0.3094 0.9406
Ti5 Ti 0.3094 0.9406 0.3094
Ti6 Ti 0.3094 0.9406 0.9406
Ti7 Ti 0.6906 0.0594 0.0594
Ti8 Ti 0.6906 0.0594 0.6906
Ti9 Ti 0.6906 0.6906 0.0594
Ti10 Ti 0.9406 0.3094 0.3094
Ti11 Ti 0.9406 0.3094 0.9406
Ti12 Ti 0.9406 0.9406 0.3094
Al1 Al 0.2921 0.2921 0.2921
Al2 Al 0.2921 0.2921 0.6237
Al3 Al 0.2921 0.6237 0.2921
Al4 Al 0.3763 0.7079 0.7079
Al5 Al 0.6237 0.2921 0.2921
Al6 Al 0.7079 0.3763 0.7079
Al7 Al 0.7079 0.7079 0.3763
Al8 Al 0.7079 0.7079 0.7079
Ni1 Ni 0.0000 0.5000 0.5000
Ni2 Ni 0.5000 0.0000 0.5000
Ni3 Ni 0.5000 0.5000 0.0000
Ni4 Ni 0.5000 0.5000 0.5000
O1 O 0.0000 0.0000 0.0000
O2 O 0.0000 0.0000 0.5000
O3 O 0.0000 0.5000 0.0000
O4 O 0.5000 0.0000 0.0000
```

Computed powder diffraction line list
Compound: Al4V13Si2Sb2O28
Radiation: λ = 1.5418 Å (Cu Kα)
Structure: a cell relaxed with GGA+U

Principal peaks in the range 2θ from 15° to 90°, by angle:
2θ (°)  I_rel
20.2  29
30.5  100
30.9  40
31.2  37
32.1  55
33.4  48
33.8  45
35.2  36
35.6  27
54.5  40
55.9  29
56.4  28

Structure:
```
data_Al4V13Si2Sb2O28
_cell_length_a 5.6294
_cell_length_b 8.9184
_cell_length_c 12.1009
_cell_angle_alpha 87.21
_cell_angle_beta 77.05
_cell_angle_gamma 80.03
_symmetry_space_group_name_H-M 'P 1'
_symmetry_Int_Tables_number 1
loop_
_symmetry_equiv_pos_as_xyz
'x,y,z'
loop_
_atom_site_label
_atom_site_type_symbol
_atom_site_fract_x
_atom_site_fract_y
_atom_site_fract_z
Al1 Al 0.0000 0.0000 0.0000
Al2 Al 0.0018 0.6562 0.8749
Al3 Al 0.4384 0.6559 0.0036
Al4 Al 0.5636 0.9997 0.8720
V1 V 0.0735 0.3287 0.2894
V2 V 0.1289 0.9657 0.7259
V3 V 0.1535 0.6794 0.5738
V4 V 0.2149 0.3268 0.0115
V5 V 0.2942 0.6808 0.2966
V6 V 0.4237 0.9711 0.1440
V7 V 0.5014 0.3281 0.4374
V8 V 0.5767 0.6854 0.7311
V9 V 0.7085 0.9743 0.5782
V10 V 0.7868 0.3290 0.8634
V11 V 0.8490 0.9759 0.3015
V12 V 0.8719 0.6904 0.1492
V13 V 0.9290 0.3258 0.5854
Si1 Si 0.2662 0.0133 0.4348
Si2 Si 0.7368 0.6418 0.4402
Sb1 Sb 0.3580 0.3305 0.7152
Sb2 Sb 0.6466 0.3223 0.1598
O1 O 0.0431 0.2062 0.7172
O2 O 0.0575 0.4505 0.8820
O3 O 0.1075 0.9364 0.5501
O4 O 0.1233 0.6998 0.9906
O5 O 0.1761 0.7164 0.7422
O6 O 0.1783 0.2007 0.4344
O7 O 0.2117 0.4402 0.5734
O8 O 0.2299 0.9373 0.3179
O9 O 0.2941 0.2067 0.1481
O10 O 0.3279 0.9564 0.9866
O11 O 0.3614 0.4410 0.2912
O12 O 0.4459 0.6716 0.4377
O13 O 0.4869 0.7202 0.1332
O14 O 0.4945 0.4490 0.0005
O15 O 0.5088 0.2064 0.8772
O16 O 0.5147 0.9367 0.7420
O17 O 0.5570 0.9817 0.4373
O18 O 0.6419 0.2142 0.5821
O19 O 0.6736 0.6984 0.8884
O20 O 0.6979 0.4482 0.7268
O21 O 0.7724 0.7178 0.5572
O22 O 0.7918 0.2148 0.3035
O23 O 0.8255 0.9401 0.1328
O24 O 0.8272 0.4545 0.4404
O25 O 0.8788 0.9543 0.8848
O26 O 0.8949 0.7188 0.3248
O27 O 0.9464 0.2055 0.9910
O28 O 0.9498 0.4489 0.1576
```

Computed powder diffraction line list
Compound: Al4V13Si2Sb2O28
Radiation: λ = 1.5418 Å (Cu Kα)
Structure: a cell relaxed with GGA+U

Principal peaks in the range 2θ from 15° to 90°, by angle:
2θ (°)  I_rel
20.2  27
30.5  100
31.0  39
31.2  37
32.2  54
33.5  47
33.8  46
35.1  36
35.7  51
54.5  33
56.1  29
56.3  28

Structure:
```
data_Al4V13Si2Sb2O28
_cell_length_a 5.6210
_cell_length_b 8.9365
_cell_length_c 12.1058
_cell_angle_alpha 87.30
_cell_angle_beta 76.81
_cell_angle_gamma 79.77
_symmetry_space_group_name_H-M 'P 1'
_symmetry_Int_Tables_number 1
loop_
_symmetry_equiv_pos_as_xyz
'x,y,z'
loop_
_atom_site_label
_atom_site_type_symbol
_atom_site_fract_x
_atom_site_fract_y
_atom_site_fract_z
Al1 Al 0.0000 0.0000 0.0000
Al2 Al 0.0088 0.6553 0.8704
Al3 Al 0.4467 0.6533 0.0016
Al4 Al 0.5681 0.9990 0.8701
V1 V 0.0767 0.3279 0.2890
V2 V 0.1349 0.9674 0.7250
V3 V 0.1580 0.6786 0.5733
V4 V 0.2173 0.3268 0.0092
V5 V 0.2959 0.6778 0.2967
V6 V 0.4269 0.9677 0.1459
V7 V 0.5068 0.3266 0.4342
V8 V 0.5838 0.6858 0.7272
V9 V 0.7136 0.9749 0.5736
V10 V 0.7909 0.3279 0.8606
V11 V 0.8504 0.9753 0.2979
V12 V 0.8772 0.6846 0.1465
V13 V 0.9340 0.3248 0.5830
Si1 Si 0.2682 0.0120 0.4349
Si2 Si 0.7403 0.6414 0.4367
Sb1 Sb 0.3652 0.3268 0.7153
Sb2 Sb 0.6426 0.3251 0.1522
O1 O 0.0371 0.2054 0.7157
O2 O 0.0651 0.4494 0.8681
O3 O 0.1106 0.9360 0.5509
O4 O 0.1320 0.6937 0.9868
O5 O 0.1836 0.7188 0.7390
O6 O 0.1870 0.1993 0.4351
O7 O 0.2173 0.4402 0.5703
O8 O 0.2256 0.9362 0.3193
O9 O 0.3287 0.2049 0.1550
O10 O 0.3293 0.9599 0.9862
O11 O 0.3552 0.4405 0.2997
O12 O 0.4470 0.6759 0.4357
O13 O 0.4881 0.7187 0.1325
O14 O 0.5150 0.2055 0.8706
O15 O 0.5196 0.4476 0.0018
O16 O 0.5229 0.9363 0.7388
O17 O 0.5622 0.9762 0.4353
O18 O 0.6533 0.2130 0.5726
O19 O 0.6786 0.6993 0.8854
O20 O 0.6883 0.4469 0.7239
O21 O 0.7811 0.7168 0.5529
O22 O 0.7928 0.2117 0.3034
O23 O 0.8235 0.4541 0.4375
O24 O 0.8294 0.9349 0.1318
O25 O 0.8839 0.9529 0.8839
O26 O 0.8984 0.7176 0.3209
O27 O 0.9235 0.2056 0.9966
O28 O 0.9679 0.4481 0.1579
```

Computed powder diffraction line list
Compound: AlSnW2O8
Radiation: λ = 1.5418 Å (Cu Kα)
Structure: a cell relaxed with GGA+U

Principal peaks in the range 2θ from 15° to 90°, by angle:
2θ (°)  I_rel
19.0  40
23.3  36
24.7  97
30.0  100
30.4  96
34.7  41
36.2  64
41.3  23
52.2  52
53.6  36
54.2  34
63.1  25

Structure:
```
data_AlSnW2O8
_cell_length_a 5.1778
_cell_length_b 5.6643
_cell_length_c 10.5897
_cell_angle_alpha 90.00
_cell_angle_beta 118.10
_cell_angle_gamma 90.00
_symmetry_space_group_name_H-M 'P 1'
_symmetry_Int_Tables_number 1
loop_
_symmetry_equiv_pos_as_xyz
'x,y,z'
loop_
_atom_site_label
_atom_site_type_symbol
_atom_site_fract_x
_atom_site_fract_y
_atom_site_fract_z
Al1 Al 0.0000 0.1664 0.2500
Al2 Al 0.0000 0.8336 0.7500
Sn1 Sn 0.5000 0.1353 0.7500
Sn2 Sn 0.5000 0.8647 0.2500
W1 W 0.2461 0.3466 0.9994
W2 W 0.2461 0.6534 0.4994
W3 W 0.7539 0.3466 0.5006
W4 W 0.7539 0.6534 0.0006
O1 O 0.2029 0.1332 0.1417
O2 O 0.2029 0.8668 0.6417
O3 O 0.2076 0.3783 0.6167
O4 O 0.2076 0.6217 0.1167
O5 O 0.2646 0.1081 0.8668
O6 O 0.2646 0.8919 0.3668
O7 O 0.2980 0.3803 0.3832
O8 O 0.2980 0.6197 0.8832
O9 O 0.7020 0.3803 0.1168
O10 O 0.7020 0.6197 0.6168
O11 O 0.7354 0.1081 0.6332
O12 O 0.7354 0.8919 0.1332
O13 O 0.7924 0.3783 0.8833
O14 O 0.7924 0.6217 0.3833
O15 O 0.7971 0.1332 0.3583
O16 O 0.7971 0.8668 0.8583
```

Computed powder diffraction line list
Compound: AlSnW2O8
Radiation: λ = 1.5418 Å (Cu Kα)
Structure: a cell relaxed with GGA+U

Principal peaks in the range 2θ from 15° to 90°, by angle:
2θ (°)  I_rel
15.9  84
17.9  43
23.3  31
25.7  40
26.8  99
28.3  83
29.9  86
32.3  100
33.0  33
36.9  31
41.2  33
45.0  31

Structure:
```
data_AlSnW2O8
_cell_length_a 4.9711
_cell_length_b 5.4610
_cell_length_c 6.2426
_cell_angle_alpha 112.74
_cell_angle_beta 101.82
_cell_angle_gamma 95.20
_symmetry_space_group_name_H-M 'P 1'
_symmetry_Int_Tables_number 1
loop_
_symmetry_equiv_pos_as_xyz
'x,y,z'
loop_
_atom_site_label
_atom_site_type_symbol
_atom_site_fract_x
_atom_site_fract_y
_atom_site_fract_z
Al1 Al 0.0000 0.0000 0.0000
Sn1 Sn 0.4578 0.5755 0.9954
W1 W 0.2804 0.8706 0.5391
W2 W 0.7430 0.4522 0.4863
O1 O 0.1209 0.5978 0.6917
O2 O 0.2069 0.1288 0.8416
O3 O 0.2275 0.8872 0.1930
O4 O 0.3942 0.5132 0.3330
O5 O 0.5872 0.2158 0.5995
O6 O 0.6755 0.8028 0.7566
O7 O 0.8254 0.2092 0.2126
O8 O 0.8949 0.7428 0.3816
```

Computed powder diffraction line list
Compound: Sr2YAlV2O7
Radiation: λ = 1.5418 Å (Cu Kα)
Structure: a cell relaxed with GGA+U

Principal peaks in the range 2θ from 15° to 90°, by angle:
2θ (°)  I_rel
21.9  16
30.6  29
31.7  31
32.8  100
39.3  25
40.2  12
44.6  17
44.8  17
49.3  11
55.7  11
57.1  11
57.3  11

Structure:
```
data_Sr2YAlV2O7
_cell_length_a 11.8050
_cell_length_b 11.8050
_cell_length_c 5.6383
_cell_angle_alpha 103.76
_cell_angle_beta 103.76
_cell_angle_gamma 139.85
_symmetry_space_group_name_H-M 'P 1'
_symmetry_Int_Tables_number 1
loop_
_symmetry_equiv_pos_as_xyz
'x,y,z'
loop_
_atom_site_label
_atom_site_type_symbol
_atom_site_fract_x
_atom_site_fract_y
_atom_site_fract_z
Sr1 Sr 0.0930 0.9070 0.0000
Sr2 Sr 0.4620 0.6477 0.0550
Sr3 Sr 0.6477 0.4620 0.0550
Sr4 Sr 0.9070 0.0930 0.0000
Y1 Y 0.2737 0.7732 0.0240
Y2 Y 0.7732 0.2737 0.0240
Al1 Al 0.1040 0.1040 0.6243
Al2 Al 0.4484 0.4484 0.4689
V1 V 0.2027 0.8528 0.5189
V2 V 0.3542 0.6973 0.5168
V3 V 0.6973 0.3542 0.5168
V4 V 0.8528 0.2027 0.5189
O1 O 0.0096 0.6442 0.6072
O2 O 0.0362 0.8967 0.4409
O3 O 0.0415 0.3955 0.4120
O4 O 0.1415 0.4938 0.0013
O5 O 0.2022 0.2022 0.0284
O6 O 0.3527 0.3527 0.6795
O7 O 0.3955 0.0415 0.4120
O8 O 0.4938 0.1415 0.0013
O9 O 0.5143 0.6547 0.5599
O10 O 0.5571 0.9242 0.0313
O11 O 0.6442 0.0096 0.6072
O12 O 0.6547 0.5143 0.5599
O13 O 0.8967 0.0362 0.4409
O14 O 0.9242 0.5571 0.0313
```

Computed powder diffraction line list
Compound: Sr2YAlV2O7
Radiation: λ = 1.5418 Å (Cu Kα)
Structure: a cell relaxed with GGA+U

Principal peaks in the range 2θ from 15° to 90°, by angle:
2θ (°)  I_rel
22.0  16
30.8  29
31.8  31
33.0  100
39.6  27
40.4  12
44.9  36
49.6  10
56.2  21
57.4  22
69.1  11
75.1  12

Structure:
```
data_Sr2YAlV2O7
_cell_length_a 11.7410
_cell_length_b 11.7410
_cell_length_c 11.7410
_cell_angle_alpha 40.27
_cell_angle_beta 151.38
_cell_angle_gamma 152.28
_symmetry_space_group_name_H-M 'P 1'
_symmetry_Int_Tables_number 1
loop_
_symmetry_equiv_pos_as_xyz
'x,y,z'
loop_
_atom_site_label
_atom_site_type_symbol
_atom_site_fract_x
_atom_site_fract_y
_atom_site_fract_z
Sr1 Sr 0.0245 0.1569 0.1814
Sr2 Sr 0.0245 0.3431 0.3676
Sr3 Sr 0.9755 0.6569 0.6324
Sr4 Sr 0.9755 0.8431 0.8186
Y1 Y 0.9990 0.4990 0.5000
Y2 Y 0.9990 0.9990 0.0000
Al1 Al 0.4026 0.7290 0.1736
Al2 Al 0.5554 0.2290 0.8264
V1 V 0.5081 0.0838 0.5750
V2 V 0.5081 0.4331 0.9243
V3 V 0.5088 0.5838 0.0757
V4 V 0.5088 0.9331 0.4250
O1 O 0.0075 0.1510 0.7227
O2 O 0.0075 0.7847 0.3564
O3 O 0.0110 0.3799 0.7774
O4 O 0.0110 0.7336 0.1311
O5 O 0.3474 0.9228 0.9246
O6 O 0.4283 0.2847 0.2773
O7 O 0.4283 0.6510 0.6436
O8 O 0.4648 0.2034 0.6205
O9 O 0.4648 0.3443 0.7614
O10 O 0.5829 0.7034 0.2386
O11 O 0.5829 0.8443 0.3795
O12 O 0.6025 0.2336 0.2226
O13 O 0.6025 0.8799 0.8689
O14 O 0.9982 0.4228 0.0754
```